The following is a calculated XRD peak list of CeMnSi2. It was derived from the GGA-PBE geometry in the Materials Project, using a wavelength of 1.5418 Å.
Neutral-atom scattering factors, no anomalous dispersion.

Main lines, in order of falling intensity (10 to 90 degrees two-theta):
2θ/deg, d/Å, I_rel, (hkl)
35.22, 2.549, 100, 1 3 1
34.18, 2.624, 40, 1 5 0
24.63, 3.614, 30, 0 2 1
58.16, 1.586, 24, 1 5 2
44.56, 2.034, 21, 2 0 0
45.53, 1.992, 19, 0 0 2
22.47, 3.958, 19, 1 1 0
38.74, 2.324, 18, 0 6 1

Structural model:
Cell: 4.067 17.168 3.985 Å, 90.00 90.00 90.00°
Space group Cmcm (No. 63)
Symmetry-distinct sites (fractional):
Ce  0.000  0.103  0.250 x4
Mn  0.000  0.249  0.750 x4
Si  0.000  0.323  0.250 x4
Si  0.000  0.464  0.250 x4